Structure and computed PXRD pattern of Pm4ZnRu3 (a crystal structure in Alexandria, relaxed with PBE; Cu Kα (weighted mean of Kα1 and Kα2)).
No peak broadening, texture or thermal motion is included.

Main lines, most intense first (10 to 80 degrees two-theta):
2θ/deg	Rel. int.
30.4	100.0
33.4	56.6
39.3	48.4
40.8	30.1
53.7	29.0
42.5	26.9
40.3	25.5
26.5	21.5
60.4	18.8
60.0	15.5

Crystal structure
```
data_Pm4ZnRu3
_space_group_name_H-M_alt 'P m m 2'
_space_group_IT_number 25
_cell_length_a 4.254
_cell_length_b 4.419
_cell_length_c 10.390
_cell_angle_alpha 90.00
_cell_angle_beta 90.00
_cell_angle_gamma 90.00
loop_
_space_group_symop_operation_xyz
'x,y,z'
'-x,-y,z'
'-x,y,z'
'x,-y,z'
loop_
_atom_site_label
_atom_site_type_symbol
_atom_site_fract_x
_atom_site_fract_y
_atom_site_fract_z
Pm1 Pm 0.000 0.000 0.000
Pm2 Pm 0.000 0.500 0.283
Pm3 Pm 0.500 0.000 0.513
Pm4 Pm 0.500 0.500 0.802
Zn1 Zn 0.500 0.000 0.212
Ru1 Ru 0.000 0.000 0.703
Ru2 Ru 0.000 0.500 0.604
Ru3 Ru 0.500 0.500 0.086
```